# ScCuO3
Calculated powder diffraction line list, Cu Kα (weighted mean of Kα1 and Kα2). Input: a PBE-relaxed structure.
Intensities are scaled so that the largest is 100.

Most intense lines, 2θ = 15–90°, most intense first:
d (Å)  2theta  Rel. int.
2.637  34.00  100.0
1.864  48.85  45.2
1.522  60.85  34.7
1.318  71.57  23.9
3.729  23.86  22.6
1.179  81.65  14.2
1.668  55.07  8.0
1.243  76.67  3.2
2.153  41.97  1.9

Structure:
a b c (Å): 3.729 3.729 3.729
angles (deg): 90.00 90.00 90.00
Atoms (fractional coordinates):
Sc  0.000  0.000  0.000
Cu  0.500  0.500  0.500
O  0.000  0.500  0.500
O  0.500  0.000  0.500
O  0.500  0.500  0.000

# CuSeO5
Calculated powder diffraction line list, Cu Kα (weighted mean of Kα1 and Kα2). Input: a PBE-relaxed structure.
Intensities are scaled so that the largest is 100.

Most intense lines, 2θ = 15–90°, most intense first:
d (Å)  2theta  Rel. int.
4.675  18.98  100.0
3.289  27.11  72.2
5.090  17.42  51.4
2.963  30.16  41.1
3.685  24.15  34.5
2.403  37.43  33.8
1.860  48.96  32.6
4.173  21.29  31.3
3.391  26.29  28.0
5.726  15.48  25.7

Structure:
a b c (Å): 6.094 7.288 9.254
angles (deg): 90.00 90.00 90.00
Atoms (fractional coordinates):
Cu  0.219  0.041  0.102
Cu  0.281  0.959  0.602
Cu  0.719  0.459  0.898
Cu  0.781  0.541  0.398
Se  0.052  0.784  0.863
Se  0.448  0.216  0.363
Se  0.552  0.716  0.137
Se  0.948  0.284  0.637
O  0.009  0.472  0.525
O  0.019  0.887  0.692
O  0.076  0.049  0.303
O  0.163  0.274  0.057
O  0.224  0.212  0.632
O  0.276  0.788  0.132
O  0.337  0.726  0.557
O  0.424  0.951  0.803
O  0.481  0.113  0.192
O  0.491  0.528  0.025
O  0.509  0.028  0.475
O  0.519  0.613  0.308
O  0.576  0.451  0.697
O  0.663  0.226  0.943
O  0.724  0.288  0.368
O  0.776  0.712  0.868
O  0.837  0.774  0.443
O  0.924  0.549  0.197
O  0.981  0.387  0.808
O  0.991  0.972  0.975

# CuSeO3
Calculated powder diffraction line list, Cu Kα (weighted mean of Kα1 and Kα2). Input: a PBE-relaxed structure.
Intensities are scaled so that the largest is 100.

Most intense lines, 2θ = 15–90°, most intense first:
d (Å)  2theta  Rel. int.
3.083  28.96  100.0
2.930  30.51  64.0
3.102  28.78  52.3
3.278  27.20  43.3
2.862  31.25  38.1
2.728  32.83  30.6
2.406  37.38  26.4
2.668  33.59  25.6
4.462  19.90  18.7
2.310  38.99  17.2

Structure:
a b c (Å): 4.813 8.926 10.736
angles (deg): 113.53 91.19 90.26
Atoms (fractional coordinates):
Cu  0.000  0.000  0.000
Cu  0.000  0.000  0.500
Cu  0.031  0.646  0.165
Cu  0.469  0.992  0.243
Cu  0.531  0.008  0.757
Cu  0.969  0.354  0.835
Se  0.018  0.754  0.671
Se  0.422  0.303  0.621
Se  0.452  0.273  0.021
Se  0.548  0.727  0.979
Se  0.578  0.697  0.379
Se  0.982  0.246  0.329
O  0.062  0.196  0.161
O  0.123  0.074  0.353
O  0.208  0.399  0.000
O  0.228  0.691  0.339
O  0.277  0.443  0.768
O  0.299  0.077  0.922
O  0.309  0.116  0.624
O  0.310  0.777  0.117
O  0.367  0.788  0.670
O  0.633  0.212  0.330
O  0.690  0.223  0.883
O  0.691  0.884  0.376
O  0.701  0.923  0.078
O  0.723  0.557  0.232
O  0.772  0.309  0.661
O  0.792  0.601  0.000
O  0.877  0.926  0.647
O  0.938  0.804  0.839

# Cu4Se3O10
Calculated powder diffraction line list, Cu Kα (weighted mean of Kα1 and Kα2). Input: a PBE-relaxed structure.
Intensities are scaled so that the largest is 100.

Most intense lines, 2θ = 15–90°, most intense first:
d (Å)  2theta  Rel. int.
2.632  34.07  100.0
3.825  23.25  69.3
2.556  35.11  62.9
3.369  26.45  56.1
2.244  40.19  55.8
2.743  32.65  55.6
2.685  33.38  50.9
4.027  22.07  45.8
4.035  22.03  44.6
2.812  31.82  43.3

Structure:
a b c (Å): 8.110 8.268 8.499
angles (deg): 77.45 65.67 81.51
Atoms (fractional coordinates):
Cu  0.014  0.369  0.177
Cu  0.108  0.162  0.486
Cu  0.178  0.551  0.390
Cu  0.407  0.437  0.740
Cu  0.593  0.563  0.260
Cu  0.822  0.449  0.610
Cu  0.892  0.838  0.514
Cu  0.986  0.631  0.823
Se  0.096  0.202  0.840
Se  0.336  0.811  0.530
Se  0.444  0.282  0.123
Se  0.556  0.718  0.877
Se  0.664  0.189  0.470
Se  0.904  0.798  0.160
O  0.020  0.642  0.041
O  0.029  0.386  0.398
O  0.043  0.797  0.270
O  0.128  0.920  0.576
O  0.261  0.652  0.713
O  0.279  0.305  0.670
O  0.279  0.326  0.036
O  0.352  0.134  0.303
O  0.355  0.704  0.364
O  0.409  0.465  0.216
O  0.591  0.535  0.784
O  0.645  0.296  0.636
O  0.648  0.866  0.697
O  0.721  0.674  0.964
O  0.721  0.695  0.330
O  0.739  0.348  0.287
O  0.872  0.080  0.424
O  0.957  0.203  0.730
O  0.971  0.614  0.602
O  0.980  0.358  0.959

# CuSe2O5
Calculated powder diffraction line list, Cu Kα (weighted mean of Kα1 and Kα2). Input: a PBE-relaxed structure.
Intensities are scaled so that the largest is 100.

Most intense lines, 2θ = 15–90°, most intense first:
d (Å)  2theta  Rel. int.
3.205  27.84  100.0
3.141  28.42  47.4
4.361  20.36  45.7
2.835  31.56  25.9
2.649  33.83  22.0
2.764  32.39  18.3
5.846  15.15  17.9
1.679  54.67  14.3
2.923  30.58  13.8
2.011  45.08  12.1

Structure:
a b c (Å): 6.774 6.774 8.047
angles (deg): 108.61 108.61 46.09
Atoms (fractional coordinates):
Cu  0.000  0.000  0.000
Cu  0.000  0.000  0.500
Se  0.271  0.454  0.676
Se  0.454  0.271  0.176
Se  0.546  0.729  0.824
Se  0.729  0.546  0.324
O  0.093  0.661  0.851
O  0.101  0.654  0.512
O  0.339  0.907  0.649
O  0.346  0.899  0.988
O  0.414  0.586  0.250
O  0.586  0.414  0.750
O  0.654  0.101  0.012
O  0.661  0.093  0.351
O  0.899  0.346  0.488
O  0.907  0.339  0.149

# CuSeO5
Calculated powder diffraction line list, Cu Kα (weighted mean of Kα1 and Kα2). Input: a PBE-relaxed structure.
Intensities are scaled so that the largest is 100.

Most intense lines, 2θ = 15–90°, most intense first:
d (Å)  2theta  Rel. int.
4.591  19.33  100.0
4.378  20.29  85.9
3.777  23.56  61.0
3.055  29.23  55.0
3.277  27.21  52.3
3.209  27.80  34.8
2.210  40.83  29.5
2.692  33.29  26.1
2.230  40.44  26.1
2.386  37.70  25.9

Structure:
a b c (Å): 5.184 8.173 9.884
angles (deg): 90.00 90.00 90.00
Atoms (fractional coordinates):
Cu  0.224  0.032  0.424
Cu  0.276  0.968  0.924
Cu  0.724  0.468  0.576
Cu  0.776  0.532  0.076
Se  0.048  0.171  0.159
Se  0.452  0.829  0.659
Se  0.548  0.329  0.841
Se  0.952  0.671  0.341
O  0.007  0.522  0.460
O  0.058  0.593  0.189
O  0.146  0.785  0.670
O  0.182  0.812  0.372
O  0.201  0.761  0.959
O  0.299  0.239  0.459
O  0.318  0.188  0.872
O  0.354  0.215  0.170
O  0.442  0.407  0.689
O  0.493  0.478  0.960
O  0.507  0.978  0.540
O  0.558  0.907  0.811
O  0.646  0.715  0.330
O  0.682  0.688  0.628
O  0.701  0.739  0.041
O  0.799  0.261  0.541
O  0.818  0.312  0.128
O  0.854  0.285  0.830
O  0.942  0.093  0.311
O  0.993  0.022  0.040

# CuSeO5
Calculated powder diffraction line list, Cu Kα (weighted mean of Kα1 and Kα2). Input: a PBE-relaxed structure.
Intensities are scaled so that the largest is 100.

Most intense lines, 2θ = 15–90°, most intense first:
d (Å)  2theta  Rel. int.
3.857  23.06  100.0
2.539  35.35  78.9
2.898  30.85  71.1
3.300  27.02  66.6
4.262  20.84  55.6
2.658  33.72  48.3
2.641  33.94  41.7
1.850  49.26  37.7
3.628  24.53  33.8
2.369  37.98  28.9

Structure:
a b c (Å): 6.225 7.962 10.711
angles (deg): 90.00 124.59 90.00
Atoms (fractional coordinates):
Cu  0.176  0.145  0.030
Cu  0.176  0.355  0.530
Cu  0.824  0.645  0.470
Cu  0.824  0.855  0.970
Se  0.220  0.625  0.336
Se  0.220  0.875  0.836
Se  0.780  0.125  0.164
Se  0.780  0.375  0.664
O  0.067  0.698  0.746
O  0.067  0.802  0.246
O  0.133  0.596  0.474
O  0.133  0.904  0.974
O  0.233  0.128  0.621
O  0.233  0.372  0.121
O  0.385  0.027  0.618
O  0.385  0.473  0.118
O  0.462  0.192  0.021
O  0.462  0.308  0.521
O  0.538  0.692  0.479
O  0.538  0.808  0.979
O  0.615  0.527  0.882
O  0.615  0.973  0.382
O  0.767  0.628  0.879
O  0.767  0.872  0.379
O  0.867  0.096  0.026
O  0.867  0.404  0.526
O  0.933  0.198  0.754
O  0.933  0.302  0.254

# CuSeO3
Calculated powder diffraction line list, Cu Kα (weighted mean of Kα1 and Kα2). Input: a PBE-relaxed structure.
Intensities are scaled so that the largest is 100.

Most intense lines, 2θ = 15–90°, most intense first:
d (Å)  2theta  Rel. int.
2.725  32.87  100.0
2.738  32.70  35.4
3.076  29.03  27.3
1.578  58.47  25.4
1.700  53.94  23.9
2.045  44.29  17.0
2.835  31.56  13.0
3.569  24.95  11.1
1.571  58.79  11.0
1.362  68.92  10.9

Structure:
a b c (Å): 6.152 7.307 5.477
angles (deg): 90.00 90.00 90.00
Atoms (fractional coordinates):
Cu  0.000  0.000  0.000
Cu  0.000  0.500  0.000
Cu  0.500  0.000  0.500
Cu  0.500  0.500  0.500
Se  0.046  0.250  0.491
Se  0.454  0.750  0.991
Se  0.546  0.250  0.009
Se  0.954  0.750  0.509
O  0.071  0.250  0.165
O  0.206  0.068  0.585
O  0.206  0.432  0.585
O  0.294  0.568  0.085
O  0.294  0.932  0.085
O  0.429  0.750  0.665
O  0.571  0.250  0.335
O  0.706  0.068  0.915
O  0.706  0.432  0.915
O  0.794  0.568  0.415
O  0.794  0.932  0.415
O  0.929  0.750  0.835

# Cu2SeO4
Calculated powder diffraction line list, Cu Kα (weighted mean of Kα1 and Kα2). Input: a PBE-relaxed structure.
Intensities are scaled so that the largest is 100.

Most intense lines, 2θ = 15–90°, most intense first:
d (Å)  2theta  Rel. int.
2.723  32.89  100.0
2.607  34.40  69.6
1.597  57.75  40.6
3.193  27.94  36.3
3.687  24.14  35.3
1.738  52.66  28.8
1.362  68.97  21.1
2.856  31.32  20.2
2.072  43.69  15.8
1.527  60.66  15.2

Structure:
a b c (Å): 9.032 9.032 9.032
angles (deg): 90.00 90.00 90.00
Atoms (fractional coordinates):
Cu  0.118  0.382  0.618
Cu  0.122  0.874  0.132
Cu  0.126  0.632  0.378
Cu  0.132  0.122  0.874
Cu  0.368  0.878  0.374
Cu  0.374  0.368  0.878
Cu  0.378  0.126  0.632
Cu  0.382  0.618  0.118
Cu  0.618  0.118  0.382
Cu  0.622  0.626  0.868
Cu  0.626  0.868  0.622
Cu  0.632  0.378  0.126
Cu  0.868  0.622  0.626
Cu  0.874  0.132  0.122
Cu  0.878  0.374  0.368
Cu  0.882  0.882  0.882
Se  0.041  0.541  0.959
Se  0.211  0.211  0.211
Se  0.289  0.789  0.711
Se  0.459  0.459  0.459
Se  0.541  0.959  0.041
Se  0.711  0.289  0.789
Se  0.789  0.711  0.289
Se  0.959  0.041  0.541
O  0.009  0.009  0.009
O  0.017  0.532  0.767
O  0.030  0.270  0.188
O  0.032  0.733  0.983
O  0.188  0.030  0.270
O  0.230  0.812  0.530
O  0.233  0.517  0.968
O  0.240  0.260  0.740
O  0.260  0.740  0.240
O  0.267  0.483  0.468
O  0.270  0.188  0.030
O  0.312  0.970  0.770
O  0.468  0.267  0.483
O  0.470  0.730  0.688
O  0.483  0.468  0.267
O  0.491  0.991  0.509
O  0.509  0.491  0.991
O  0.517  0.968  0.233
O  0.530  0.230  0.812
O  0.532  0.767  0.017
O  0.688  0.470  0.730
O  0.730  0.688  0.470
O  0.733  0.983  0.032
O  0.740  0.240  0.260
O  0.760  0.760  0.760
O  0.767  0.017  0.532
O  0.770  0.312  0.970
O  0.812  0.530  0.230
O  0.968  0.233  0.517
O  0.970  0.770  0.312
O  0.983  0.032  0.733
O  0.991  0.509  0.491